Computed powder diffraction line list
Compound: Mn3Nb2O9
Radiation: Cu Kα (weighted mean of Kα1 and Kα2)
Structure: a GGA+U-relaxed structure
Intensities are scaled so that the largest is 100.

Largest 6 diffraction maxima, by angle, 10° ≤ 2θ ≤ 90°:
- d = 4.564 Å, I 60
- d = 3.870 Å, I 50
- d = 2.851 Å, I 100
- d = 2.635 Å, I 68
- d = 1.935 Å, I 41
- d = 1.788 Å, I 49

Structure:
Cell lengths 5.2697, 5.2697, 14.6017 Å; angles 90.00, 90.00, 120.00 degrees
Space group P3c1 (No. 158)
Asymmetric unit:
Mn: 0.0000 0.0000 0.0000 (multiplicity 2)
Mn: 0.0000 0.0000 0.2054 (multiplicity 2)
Mn: 0.6667 0.3333 0.0281 (multiplicity 2)
Nb: 0.3333 0.6667 0.1679 (multiplicity 2)
Nb: 0.3333 0.6667 0.3801 (multiplicity 2)
O: 0.0073 0.3052 0.1134 (multiplicity 6)
O: 0.0122 0.3647 0.4431 (multiplicity 6)
O: 0.0905 0.3535 0.7664 (multiplicity 6)



Computed powder diffraction line list
Compound: Na2NiPCO7
Radiation: Cu Kα (weighted mean of Kα1 and Kα2)
Structure: a GGA+U-relaxed structure
Intensities are scaled so that the largest is 100.

Largest 6 diffraction maxima, by angle, 10° ≤ 2θ ≤ 90°:
- d = 5.278 Å, I 73
- d = 4.544 Å, I 42
- d = 4.443 Å, I 50
- d = 3.439 Å, I 45
- d = 3.262 Å, I 100
- d = 2.595 Å, I 57

Structure:
Cell lengths 10.2502, 6.5232, 10.3844 Å; angles 90.00, 118.93, 90.00 degrees
Space group Pc (No. 7)
Asymmetric unit:
Na: 0.0000 0.0028 0.0000 (multiplicity 2)
Na: 0.1796 0.2310 0.8237 (multiplicity 2)
Na: 0.6472 0.2662 0.8051 (multiplicity 2)
Na: 0.6473 0.2676 0.3036 (multiplicity 2)
Ni: 0.2560 0.4978 0.6237 (multiplicity 2)
Ni: 0.5637 0.0002 0.0001 (multiplicity 2)
P: 0.3336 0.0007 0.1308 (multiplicity 2)
P: 0.4849 0.4978 0.4888 (multiplicity 2)
C: 0.8404 0.0043 0.6715 (multiplicity 2)
C: 0.9795 0.4977 0.4533 (multiplicity 2)
O: 0.0380 0.4890 0.5956 (multiplicity 2)
O: 0.0795 0.4949 0.9094 (multiplicity 2)
O: 0.2317 0.1896 0.1041 (multiplicity 2)
O: 0.2352 0.1858 0.6212 (multiplicity 2)
O: 0.3388 0.4979 0.8421 (multiplicity 2)
O: 0.3741 0.0012 0.0036 (multiplicity 2)
O: 0.4507 0.4976 0.6204 (multiplicity 2)
O: 0.4812 0.0042 0.2776 (multiplicity 2)
O: 0.5841 0.3101 0.5035 (multiplicity 2)
O: 0.5842 0.3135 0.0039 (multiplicity 2)
O: 0.7471 0.0004 0.2235 (multiplicity 2)
O: 0.7790 0.0001 0.0278 (multiplicity 2)
O: 0.8413 0.4997 0.3664 (multiplicity 2)
O: 0.9802 0.0129 0.7530 (multiplicity 2)